Entry 1:
Structure and calculated X-ray powder pattern of GaCu3HgSe4 (a crystal structure in the Materials Project, relaxed with GGA-PBE; Cu Kα).

Cell: 5.9353 5.9353 5.9353 Å, 90.00 90.00 90.00°
Space group P-43m (No. 215)
Symmetry-distinct sites (fractional):
Ga (0.0000, 0.0000, 0.0000) x1
Cu (0.0000, 0.0000, 0.5000) x3
Hg (0.5000, 0.5000, 0.5000) x1
Se (0.2387, 0.2387, 0.2387) x4

The 8 most intense peaks (2θ = 10–90°), low angle first:
21.17°, d = 4.197 Å, I = 42; 26.00°, d = 3.427 Å, I = 88; 37.10°, d = 2.423 Å, I = 21; 43.11°, d = 2.098 Å, I = 100; 51.03°, d = 1.790 Å, I = 40; 62.60°, d = 1.484 Å, I = 16; 68.97°, d = 1.362 Å, I = 15; 79.03°, d = 1.212 Å, I = 32

Entry 2:
Structure and calculated X-ray powder pattern of PrDyIn2 (a crystal structure in the Materials Project, relaxed with GGA-PBE; Cu Kα).

Cell: 7.6791 7.6791 7.6791 Å, 90.00 90.00 90.00°
Space group Fm-3m (No. 225)
Symmetry-distinct sites (fractional):
Pr (0.0000, 0.0000, 0.0000) x4
Dy (0.0000, 0.0000, 0.5000) x4
In (0.2500, 0.2500, 0.2500) x8

The 8 most intense peaks (2θ = 10–90°), low angle first:
23.17°, d = 3.840 Å, I = 2; 32.99°, d = 2.715 Å, I = 100; 47.35°, d = 1.920 Å, I = 18; 53.35°, d = 1.717 Å, I = 1; 58.92°, d = 1.567 Å, I = 37; 69.21°, d = 1.357 Å, I = 11; 78.83°, d = 1.214 Å, I = 16; 88.14°, d = 1.108 Å, I = 4

Entry 3:
Structure and calculated X-ray powder pattern of SbC6N9 (a crystal structure in the Materials Project, relaxed with GGA-PBE; Cu Kα).

Cell: 7.7521 11.8756 11.5420 Å, 90.00 90.00 90.00°
Space group Cmcm (No. 63)
Symmetry-distinct sites (fractional):
Sb (0.0000, 0.1608, 0.2500) x4
C (0.1457, 0.0921, 0.7500) x8
C (0.1501, 0.3612, 0.5866) x16
N (0.0000, 0.0335, 0.7500) x4
N (0.0000, 0.3338, 0.5500) x8
N (0.2049, 0.1179, 0.1104) x16
N (0.2241, 0.3575, 0.2500) x8

The 8 most intense peaks (2θ = 10–90°), low angle first:
15.35°, d = 5.771 Å, I = 71; 15.66°, d = 5.658 Å, I = 100; 16.79°, d = 5.280 Å, I = 99; 20.59°, d = 4.313 Å, I = 95; 26.94°, d = 3.310 Å, I = 67; 29.69°, d = 3.009 Å, I = 62; 36.21°, d = 2.481 Å, I = 53; 38.96°, d = 2.312 Å, I = 51

Entry 4:
Structure and calculated X-ray powder pattern of KIO3 (a crystal structure in the Materials Project, relaxed with GGA-PBE; Cu Kα).

Cell: 6.3102 6.3102 8.0370 Å, 90.00 90.00 120.00°
Space group R3 (No. 146, hexagonal axes)
Symmetry-distinct sites (fractional):
K (0.0000, 0.0000, 0.0000) x3
I (0.0000, 0.0000, 0.4990) x3
O (0.0358, 0.5069, 0.0584) x9

The 8 most intense peaks (2θ = 10–90°), low angle first:
19.64°, d = 4.519 Å, I = 95; 27.55°, d = 3.237 Å, I = 100; 28.29°, d = 3.155 Å, I = 83; 39.90°, d = 2.260 Å, I = 58; 45.33°, d = 2.000 Å, I = 18; 48.26°, d = 1.886 Å, I = 20; 49.63°, d = 1.837 Å, I = 32; 64.73°, d = 1.440 Å, I = 20

Number 2 is which compound?
PrDyIn2